No. 1
Diffraction record for PuAs2Rh5. The X-ray diffraction stick pattern is simulated, not measured: it uses a PBE-relaxed structure and Cu Kα, 1.54184 Å.
No peak broadening, texture or thermal motion is included.

Structural model:
Cell lengths 6.287, 6.287, 6.287 Å; angles 143.76, 111.90, 79.66 degrees
Fractional coordinates of all 8 atoms:
1 Pu 0.000 0.000 0.000
2 As 0.252 0.752 0.500
3 As 0.748 0.248 0.500
4 Rh 0.159 0.357 0.802
5 Rh 0.445 0.643 0.802
6 Rh 0.500 0.000 0.500
7 Rh 0.555 0.357 0.198
8 Rh 0.841 0.643 0.198

Main lines, by angle (2θ = 10–80°):
| 2theta | I (rel.) |
| --- | --- |
| 30.54 | 16 |
| 31.45 | 15 |
| 32.08 | 28 |
| 35.55 | 100 |
| 36.14 | 81 |
| 39.51 | 15 |
| 45.56 | 52 |
| 46.44 | 33 |
| 49.04 | 17 |
| 67.09 | 33 |

---

No. 2
Diffraction record for Pu2SbAsRh6. The X-ray diffraction stick pattern is simulated, not measured: it uses a PBE-relaxed structure and Cu Kα, 1.54184 Å.
No peak broadening, texture or thermal motion is included.

Structural model:
Cell lengths 5.479, 8.568, 8.427 Å; angles 90.00, 90.00, 90.00 degrees
Fractional coordinates of all 20 atoms:
1 Pu 0.250 0.021 0.230
2 Pu 0.250 0.479 0.230
3 Pu 0.750 0.521 0.770
4 Pu 0.750 0.979 0.770
5 Sb 0.250 0.250 0.769
6 Sb 0.750 0.750 0.231
7 As 0.250 0.750 0.743
8 As 0.750 0.250 0.257
9 Rh 0.001 0.750 0.976
10 Rh 0.005 0.250 0.495
11 Rh 0.250 0.501 0.592
12 Rh 0.250 0.999 0.592
13 Rh 0.495 0.250 0.495
14 Rh 0.499 0.750 0.976
15 Rh 0.501 0.250 0.024
16 Rh 0.505 0.750 0.505
17 Rh 0.750 0.001 0.408
18 Rh 0.750 0.499 0.408
19 Rh 0.995 0.750 0.505
20 Rh 0.999 0.250 0.024

Main lines, by angle (2θ = 10–80°):
| 2theta | I (rel.) |
| --- | --- |
| 28.49 | 100 |
| 29.74 | 52 |
| 34.04 | 24 |
| 39.02 | 61 |
| 39.22 | 73 |
| 41.84 | 86 |
| 42.19 | 48 |
| 42.93 | 21 |
| 58.95 | 44 |
| 64.64 | 24 |

---

No. 3
Diffraction record for Pu2ZnAs3Rh4. The X-ray diffraction stick pattern is simulated, not measured: it uses a PBE-relaxed structure and Cu Kα, 1.54184 Å.
No peak broadening, texture or thermal motion is included.

Structural model:
Cell lengths 4.127, 4.127, 10.525 Å; angles 90.00, 90.00, 90.00 degrees
Fractional coordinates of all 10 atoms:
1 Pu 0.000 0.500 0.245
2 Pu 0.500 0.000 0.755
3 Zn 0.500 0.500 0.000
4 As 0.000 0.000 0.000
5 As 0.000 0.500 0.635
6 As 0.500 0.000 0.365
7 Rh 0.000 0.000 0.500
8 Rh 0.000 0.500 0.863
9 Rh 0.500 0.000 0.137
10 Rh 0.500 0.500 0.500

Main lines, by angle (2θ = 10–80°):
| 2theta | I (rel.) |
| --- | --- |
| 23.15 | 12 |
| 30.63 | 21 |
| 33.52 | 65 |
| 35.16 | 100 |
| 43.87 | 50 |
| 48.55 | 33 |
| 56.32 | 30 |
| 63.78 | 16 |
| 67.49 | 25 |
| 74.97 | 22 |

---

No. 4
Diffraction record for Pu2AsRu. The X-ray diffraction stick pattern is simulated, not measured: it uses a PBE-relaxed structure and Cu Kα, 1.54184 Å.
No peak broadening, texture or thermal motion is included.

Structural model:
Cell lengths 3.707, 3.707, 5.807 Å; angles 90.00, 90.00, 90.00 degrees
Fractional coordinates of all 4 atoms:
1 Pu 0.000 0.000 0.249
2 Pu 0.000 0.000 0.751
3 As 0.500 0.500 0.500
4 Ru 0.500 0.500 0.000

Main lines, by angle (2θ = 10–80°):
| 2theta | I (rel.) |
| --- | --- |
| 24.00 | 34 |
| 30.80 | 9 |
| 34.20 | 73 |
| 39.42 | 100 |
| 46.68 | 13 |
| 49.15 | 27 |
| 55.42 | 8 |
| 64.75 | 47 |
| 72.05 | 9 |
| 74.75 | 16 |